For Li4V5Sb3O16, a PBE+U-relaxed structure gives the calculated powder diffraction line list in this record (Cu Kα, 1.54184 Å).

Crystal structure
abc: 6.117 6.216 9.785
angles: 90.89 90.16 118.84
Space group P1 (No. 1)
Asymmetric unit:
Li 0.000 0.000 0.000
Li 0.002 0.004 0.508
Li 0.321 0.635 0.409
Li 0.664 0.323 0.893
V 0.173 0.329 0.722
V 0.360 0.669 0.986
V 0.669 0.823 0.719
V 0.675 0.304 0.496
V 0.833 0.150 0.220
Sb 0.174 0.823 0.720
Sb 0.344 0.155 0.222
Sb 0.838 0.647 0.221
O 0.013 0.992 0.819
O 0.022 0.005 0.324
O 0.050 0.526 0.847
O 0.172 0.309 0.113
O 0.186 0.844 0.099
O 0.326 0.145 0.612
O 0.330 0.657 0.611
O 0.484 0.955 0.841
O 0.488 0.522 0.844
O 0.497 0.434 0.364
O 0.515 0.012 0.340
O 0.648 0.289 0.103
O 0.679 0.845 0.098
O 0.840 0.150 0.617
O 0.851 0.674 0.607
O 0.952 0.431 0.360

Largest 10 diffraction maxima, sorted by position, 2θ from 15° to 90°:
2θ 16.70, I = 20
2θ 18.14, I = 100
2θ 18.80, I = 42
2θ 18.97, I = 21
2θ 19.08, I = 29
2θ 24.67, I = 20
2θ 33.99, I = 24
2θ 34.39, I = 23
2θ 34.60, I = 29
2θ 38.12, I = 18